Computed PXRD pattern
Compound: MgMn3BiO8
Radiation: copper Kα
Structure: the GGA+U geometry in the Materials Project
Neutral-atom scattering factors, no anomalous dispersion.

The 10 most intense peaks (2θ from 10° to 90°), in order of rising 2θ:
2θ (°), d/Å, I (rel.)
17.1, 5.185, 100
17.8, 4.978, 88
19.9, 4.455, 18
32.5, 2.756, 21
32.9, 2.724, 21
34.1, 2.632, 26
34.2, 2.619, 20
36.1, 2.489, 21
40.5, 2.227, 54
41.5, 2.177, 25

Crystal structure
a b c (Å): 6.188 6.188 6.565
angles (deg): 120.96 120.96 58.70
Atoms (fractional coordinates):
Mg  0.000  0.000  0.000
Mn  0.000  0.500  0.500
Mn  0.500  0.000  0.500
Mn  0.500  0.500  0.500
Bi  0.500  0.500  0.000
O  0.215  0.728  0.734
O  0.246  0.246  0.687
O  0.254  0.254  0.307
O  0.272  0.785  0.266
O  0.728  0.215  0.734
O  0.746  0.746  0.693
O  0.754  0.754  0.313
O  0.785  0.272  0.266

Computed PXRD pattern
Compound: Mg6MnBiO8
Radiation: copper Kα
Structure: the GGA+U geometry in the Materials Project
Neutral-atom scattering factors, no anomalous dispersion.

The 10 most intense peaks (2θ from 10° to 90°), in order of rising 2θ:
2θ (°), d/Å, I (rel.)
19.5, 4.558, 88
19.8, 4.476, 43
21.9, 4.062, 63
27.7, 3.223, 38
27.9, 3.194, 75
29.5, 3.033, 36
34.3, 2.616, 79
39.5, 2.279, 100
40.3, 2.238, 45
57.7, 1.597, 58

Crystal structure
a b c (Å): 4.558 4.558 8.953
angles (deg): 90.00 90.00 90.00
Atoms (fractional coordinates):
Mg  0.000  0.000  0.000
Mg  0.000  0.000  0.500
Mg  0.000  0.500  0.234
Mg  0.000  0.500  0.766
Mg  0.500  0.000  0.234
Mg  0.500  0.000  0.766
Mn  0.500  0.500  0.000
Bi  0.500  0.500  0.500
O  0.000  0.000  0.248
O  0.000  0.000  0.752
O  0.000  0.500  0.000
O  0.000  0.500  0.500
O  0.500  0.000  0.000
O  0.500  0.000  0.500
O  0.500  0.500  0.234
O  0.500  0.500  0.766

Computed PXRD pattern
Compound: Mg6MnBiO8
Radiation: copper Kα
Structure: the GGA+U geometry in the Materials Project
Neutral-atom scattering factors, no anomalous dispersion.

The 10 most intense peaks (2θ from 10° to 90°), in order of rising 2θ:
2θ (°), d/Å, I (rel.)
19.5, 4.548, 43
19.9, 4.468, 44
21.9, 4.053, 63
27.7, 3.216, 38
28.0, 3.187, 38
29.5, 3.026, 68
34.4, 2.610, 80
39.6, 2.274, 100
40.4, 2.234, 44
57.9, 1.594, 57

Crystal structure
a b c (Å): 4.548 4.548 8.937
angles (deg): 90.00 90.00 90.00
Atoms (fractional coordinates):
Mg  0.000  0.000  0.000
Mg  0.000  0.500  0.232
Mg  0.000  0.500  0.768
Mg  0.500  0.000  0.232
Mg  0.500  0.000  0.768
Mg  0.500  0.500  0.000
Mn  0.000  0.000  0.500
Bi  0.500  0.500  0.500
O  0.000  0.000  0.239
O  0.000  0.000  0.761
O  0.000  0.500  0.000
O  0.000  0.500  0.500
O  0.500  0.000  0.000
O  0.500  0.000  0.500
O  0.500  0.500  0.225
O  0.500  0.500  0.775

Computed PXRD pattern
Compound: MgMn3BiO8
Radiation: copper Kα
Structure: the GGA+U geometry in the Materials Project
Neutral-atom scattering factors, no anomalous dispersion.

The 10 most intense peaks (2θ from 10° to 90°), in order of rising 2θ:
2θ (°), d/Å, I (rel.)
17.9, 4.950, 100
20.1, 4.423, 38
27.1, 3.290, 17
29.9, 2.987, 15
31.4, 2.846, 38
33.9, 2.644, 38
36.3, 2.475, 22
40.8, 2.211, 54
55.9, 1.645, 16
62.2, 1.493, 15

Crystal structure
a b c (Å): 6.649 6.649 6.649
angles (deg): 53.38 53.38 53.38
Atoms (fractional coordinates):
Mg  0.000  0.000  0.000
Mn  0.000  0.500  0.500
Mn  0.500  0.000  0.500
Mn  0.500  0.500  0.000
Bi  0.500  0.500  0.500
O  0.237  0.237  0.712
O  0.237  0.712  0.237
O  0.277  0.277  0.277
O  0.288  0.763  0.763
O  0.712  0.237  0.237
O  0.723  0.723  0.723
O  0.763  0.288  0.763
O  0.763  0.763  0.288

Computed PXRD pattern
Compound: MgMn2V2Bi2O10
Radiation: copper Kα
Structure: the GGA+U geometry in the Materials Project
Neutral-atom scattering factors, no anomalous dispersion.

The 10 most intense peaks (2θ from 10° to 90°), in order of rising 2θ:
2θ (°), d/Å, I (rel.)
13.6, 6.502, 61
14.1, 6.288, 28
17.9, 4.951, 48
19.3, 4.607, 41
26.5, 3.369, 100
27.6, 3.234, 49
28.4, 3.144, 53
32.3, 2.775, 26
36.3, 2.475, 23
38.5, 2.340, 25

Crystal structure
a b c (Å): 5.398 7.379 7.699
angles (deg): 113.98 107.10 97.27
Atoms (fractional coordinates):
Mg  0.000  0.000  0.000
Mn  0.188  0.642  0.759
Mn  0.812  0.358  0.241
V  0.188  0.240  0.894
V  0.812  0.760  0.106
Bi  0.396  0.248  0.464
Bi  0.604  0.752  0.536
O  0.055  0.940  0.735
O  0.092  0.735  0.032
O  0.230  0.492  0.454
O  0.302  0.363  0.761
O  0.390  0.204  0.125
O  0.610  0.796  0.875
O  0.698  0.637  0.239
O  0.770  0.508  0.546
O  0.908  0.265  0.968
O  0.945  0.060  0.265

Computed PXRD pattern
Compound: MgMn2V2Bi2O10
Radiation: copper Kα
Structure: the GGA+U geometry in the Materials Project
Neutral-atom scattering factors, no anomalous dispersion.

The 10 most intense peaks (2θ from 10° to 90°), in order of rising 2θ:
2θ (°), d/Å, I (rel.)
13.6, 6.516, 98
19.3, 4.602, 77
23.5, 3.792, 57
24.1, 3.699, 62
25.4, 3.508, 65
27.3, 3.268, 81
27.8, 3.207, 100
28.9, 3.094, 68
34.1, 2.632, 62
35.2, 2.550, 58

Crystal structure
a b c (Å): 5.487 7.142 7.248
angles (deg): 110.21 102.96 97.14
Atoms (fractional coordinates):
Mg  0.000  0.000  0.000
Mn  0.529  0.829  0.079
Mn  0.868  0.082  0.601
V  0.535  0.283  0.961
V  0.881  0.628  0.707
Bi  0.078  0.701  0.275
Bi  0.357  0.242  0.435
O  0.130  0.706  0.957
O  0.286  0.247  0.728
O  0.380  0.125  0.078
O  0.469  0.957  0.392
O  0.641  0.557  0.121
O  0.666  0.764  0.818
O  0.788  0.354  0.553
O  0.820  0.193  0.915
O  0.954  0.978  0.268
O  0.984  0.800  0.582